# 1
Computed PXRD pattern of GePd17 for Cu Ka, from a structure optimized by DFT (PBE).
No peak broadening, texture or thermal motion is included.

Structural model:
```
data_GePd17
_cell_length_a 5.5387
_cell_length_b 5.5387
_cell_length_c 33.7360
_cell_angle_alpha 90.00
_cell_angle_beta 90.00
_cell_angle_gamma 120.00
_space_group_name_H-M_alt 'P -3 m 1'
_space_group_IT_number 164
_space_group_name_Hall '-P 3 2"'
loop_
_atom_site_label
_atom_site_type_symbol
_atom_site_fract_x
_atom_site_fract_y
_atom_site_fract_z
Ge1 Ge 0.3333 0.6667 0.2673
Pd1 Pd 0.0000 0.0000 0.0000
Pd2 Pd 0.0000 0.0000 0.2045
Pd3 Pd 0.0000 0.5000 0.0000
Pd4 Pd 0.0006 0.5003 0.2055
Pd5 Pd 0.1662 0.3325 0.7262
Pd6 Pd 0.1666 0.3331 0.9318
Pd7 Pd 0.1670 0.3341 0.1366
Pd8 Pd 0.3333 0.6667 0.0683
Pd9 Pd 0.3333 0.6667 0.8636
```

The 10 most intense peaks (10 to 80 degrees two-theta), most intense first:
| 2theta | d [Å] | I_rel | hkl |
| --- | --- | --- | --- |
| 39.89 | 2.260 | 100 | 2 0 5 |
| 46.46 | 1.955 | 61 | 0 2 10 |
| 39.05 | 2.307 | 39 | 2 0 4 |
| 44.87 | 2.020 | 35 | 0 2 9 |
| 67.68 | 1.384 | 31 | 2 2 0 |
| 40.09 | 2.249 | 28 | 0 0 15 |
| 37.32 | 2.410 | 24 | 0 0 14 |
| 67.94 | 1.380 | 17 | 2 0 20 |
| 40.91 | 2.206 | 16 | 2 0 6 |
| 10.49 | 8.434 | 16 | 0 0 4 |

***

# 2
Computed PXRD pattern of CdIn2TeS3 for Cu Ka, from a structure optimized by DFT (PBE).
No peak broadening, texture or thermal motion is included.

Structural model:
```
data_CdIn2TeS3
_cell_length_a 5.8902
_cell_length_b 5.9980
_cell_length_c 6.9739
_cell_angle_alpha 112.50
_cell_angle_beta 112.54
_cell_angle_gamma 92.18
_space_group_name_H-M_alt 'P 1'
_space_group_IT_number 1
_space_group_name_Hall 'P 1'
loop_
_atom_site_label
_atom_site_type_symbol
_atom_site_fract_x
_atom_site_fract_y
_atom_site_fract_z
Cd1 Cd 0.0000 0.0000 0.0000
In1 In 0.5136 0.4922 0.0048
In2 In 0.7747 0.2640 0.5170
Te1 Te 0.3722 0.8566 0.3067
S1 S 0.1428 0.1309 0.7451
S2 S 0.6299 0.6169 0.7445
S3 S 0.8873 0.3821 0.2523
```

The 10 most intense peaks (10 to 80 degrees two-theta), most intense first:
| 2theta | d [Å] | I_rel | hkl |
| --- | --- | --- | --- |
| 25.93 | 3.436 | 100 | 1 -1 1 |
| 25.76 | 3.459 | 50 | -1 1 1 |
| 42.21 | 2.141 | 27 | 2 -2 0 |
| 27.12 | 3.288 | 25 | 1 1 -2 |
| 27.91 | 3.197 | 22 | 0 1 -2 |
| 42.49 | 2.127 | 22 | 0 2 1 |
| 43.12 | 2.098 | 21 | 2 0 1 |
| 16.91 | 5.243 | 18 | 0 1 -1 |
| 21.58 | 4.117 | 17 | 1 1 -1 |
| 17.08 | 5.190 | 16 | 1 0 -1 |

***

# 3
Computed PXRD pattern of Lu3CoCN for Cu Ka, from a structure optimized by DFT (PBE).
No peak broadening, texture or thermal motion is included.

Structural model:
```
data_Lu3CoCN
_cell_length_a 3.3883
_cell_length_b 3.3883
_cell_length_c 18.9981
_cell_angle_alpha 90.00
_cell_angle_beta 90.00
_cell_angle_gamma 120.00
_space_group_name_H-M_alt 'P -3 m 1'
_space_group_IT_number 164
_space_group_name_Hall '-P 3 2"'
loop_
_atom_site_label
_atom_site_type_symbol
_atom_site_fract_x
_atom_site_fract_y
_atom_site_fract_z
Lu1 Lu 0.0000 0.0000 0.0000
Lu2 Lu 0.0000 0.0000 0.5000
Lu3 Lu 0.3333 0.6667 0.1437
Lu4 Lu 0.3333 0.6667 0.3531
Co1 Co 0.0000 0.0000 0.2454
C1 C 0.3333 0.6667 0.5794
N1 N 0.3333 0.6667 0.9273
```

The 10 most intense peaks (10 to 80 degrees two-theta), most intense first:
| 2theta | d [Å] | I_rel | hkl |
| --- | --- | --- | --- |
| 35.98 | 2.496 | 100 | 0 1 4 |
| 38.77 | 2.322 | 52 | 1 0 5 |
| 30.83 | 2.900 | 51 | 1 0 1 |
| 54.14 | 1.694 | 37 | 1 1 0 |
| 28.18 | 3.166 | 22 | 0 0 6 |
| 31.92 | 2.804 | 19 | 1 0 2 |
| 53.47 | 1.714 | 19 | 0 1 9 |
| 67.97 | 1.379 | 16 | 1 1 8 |
| 66.73 | 1.402 | 16 | 2 0 4 |
| 62.14 | 1.494 | 16 | 1 1 6 |